For K2PH4Se3O2, a DFT-relaxed cell (GGA-PBE, Alexandria) gives the theoretical X-ray diffraction stick pattern in this record (copper Kα).

Structural model:
```
K2PH4Se3O2
1.0
5.965 -6.525 0.000
5.965 6.525 0.000
0.000 0.000 11.942
K P H Se O
8 4 16 12 8
direct
0.023 0.977 0.858
0.082 0.418 0.750
0.418 0.082 0.250
0.477 0.523 0.358
0.523 0.477 0.642
0.582 0.918 0.750
0.918 0.582 0.250
0.977 0.023 0.142
0.080 0.920 0.540
0.420 0.580 0.040
0.580 0.420 0.960
0.920 0.080 0.460
0.079 0.702 0.013
0.098 0.317 0.002
0.183 0.402 0.498
0.202 0.579 0.513
0.298 0.921 0.013
0.317 0.098 0.998
0.402 0.183 0.502
0.421 0.798 0.513
0.579 0.202 0.487
0.598 0.817 0.498
0.683 0.902 0.002
0.702 0.079 0.987
0.798 0.421 0.487
0.817 0.598 0.502
0.902 0.683 0.998
0.921 0.298 0.987
0.065 0.244 0.358
0.189 0.811 0.398
0.244 0.065 0.642
0.256 0.435 0.142
0.311 0.689 0.898
0.435 0.256 0.858
0.565 0.744 0.142
0.689 0.311 0.102
0.744 0.565 0.858
0.756 0.935 0.358
0.811 0.189 0.602
0.935 0.756 0.642
0.016 0.262 0.957
0.238 0.484 0.543
0.262 0.016 0.043
0.484 0.238 0.457
0.516 0.762 0.543
0.738 0.984 0.957
0.762 0.516 0.457
0.984 0.738 0.043
```

Largest 10 diffraction maxima, by intensity, 15° ≤ 2θ ≤ 90°:
two_theta, I (rel.)
27.81, 100
32.56, 81
28.36, 77
26.43, 69
31.38, 42
34.04, 39
51.99, 36
33.89, 36
21.05, 30
23.00, 29